# 1
Diffraction record for Th3BI3. The powder XRD pattern is computed, not measured: it uses a structure optimized by DFT (GGA-PBE) and Cu Kα (λ = 1.5418 Å).
Neutral-atom scattering factors, no anomalous dispersion.

Top 10 peaks for 5 to 70 degrees two-theta, by angle:
hkl 0 0 1, d 12.214, 2θ 7.24, I = 25; hkl 1 0 0, d 9.261, 2θ 9.55, I = 25; hkl 1 1 2, d 3.128, 2θ 28.53, I = 22; hkl 0 0 4, d 3.054, 2θ 29.25, I = 47; hkl 2 1 0, d 3.026, 2θ 29.52, I = 100; hkl 0 1 3, d 2.853, 2θ 31.36, I = 26; hkl 3 0 2, d 2.720, 2θ 32.93, I = 23; hkl 2 1 -4, d 2.172, 2θ 41.57, I = 26; hkl 2 1 4, d 2.127, 2θ 42.50, I = 26; hkl 5 1 2, d 1.609, 2θ 57.24, I = 23

Structural model:
Lattice parameters (Å, degrees): 9.266 3.998 12.221 90.00 91.84 90.00
Fractional positions:
Th (0.084, 0.250, 0.394)
Th (0.115, 0.250, 0.830)
Th (0.300, 0.750, 0.619)
Th (0.700, 0.250, 0.381)
Th (0.885, 0.750, 0.170)
Th (0.916, 0.750, 0.606)
B (0.115, 0.250, 0.613)
B (0.885, 0.750, 0.387)
I (0.150, 0.250, 0.118)
I (0.380, 0.750, 0.877)
I (0.389, 0.750, 0.361)
I (0.611, 0.250, 0.639)
I (0.620, 0.250, 0.123)
I (0.850, 0.750, 0.882)

---

# 2
Diffraction record for Ru2IBr. The powder XRD pattern is computed, not measured: it uses a structure optimized by DFT (GGA-PBE) and Cu Kα (λ = 1.5418 Å).
Neutral-atom scattering factors, no anomalous dispersion.

Top 10 peaks for 5 to 70 degrees two-theta, by angle:
hkl 0 0 1, d 8.479, 2θ 10.43, I = 100; hkl 0 1 1, d 5.787, 2θ 15.31, I = 15; hkl 0 2 1, d 3.114, 2θ 28.66, I = 14; hkl 1 1 0, d 3.059, 2θ 29.20, I = 20; hkl 0 1 -2, d 3.020, 2θ 29.58, I = 20; hkl 1 2 0, d 2.244, 2θ 40.20, I = 12; hkl 1 -2 1, d 2.238, 2θ 40.30, I = 13; hkl 1 2 3, d 2.198, 2θ 41.07, I = 11; hkl 1 2 -1, d 1.994, 2θ 45.49, I = 11; hkl 2 0 1, d 1.912, 2θ 47.57, I = 18

Structural model:
Lattice parameters (Å, degrees): 3.823 6.232 9.135 71.86 78.23 90.00
Fractional positions:
Ru (0.000, 0.000, 0.000)
Ru (0.098, 0.414, 0.799)
Ru (0.494, 0.285, 0.013)
Ru (0.598, 0.104, 0.798)
I (0.373, 0.921, 0.258)
I (0.962, 0.540, 0.077)
Br (0.208, 0.267, 0.572)
Br (0.648, 0.736, 0.695)

---

# 3
Diffraction record for AcMgIn2. The powder XRD pattern is computed, not measured: it uses a structure optimized by DFT (GGA-PBE) and Cu Kα (λ = 1.5418 Å).
Neutral-atom scattering factors, no anomalous dispersion.

Top 10 peaks for 5 to 70 degrees two-theta, by angle:
hkl 1 0 0, d 4.938, 2θ 17.96, I = 31; hkl 1 0 1, d 3.453, 2θ 25.80, I = 27; hkl 1 1 1, d 2.830, 2θ 31.61, I = 100; hkl 2 0 0, d 2.469, 2θ 36.39, I = 34; hkl 0 0 2, d 2.416, 2θ 37.22, I = 16; hkl 2 1 1, d 2.009, 2θ 45.14, I = 13; hkl 2 2 0, d 1.746, 2θ 52.40, I = 12; hkl 2 0 2, d 1.727, 2θ 53.03, I = 23; hkl 3 1 1, d 1.486, 2θ 62.50, I = 28; hkl 1 1 3, d 1.462, 2θ 63.63, I = 13

Structural model:
Lattice parameters (Å, degrees): 4.938 4.938 4.831 90.00 90.00 90.00
Fractional positions:
Ac (0.000, 0.000, 0.000)
Mg (0.500, 0.500, 0.000)
In (0.000, 0.500, 0.500)
In (0.500, 0.000, 0.500)

---

# 4
Diffraction record for Dy3PuP4. The powder XRD pattern is computed, not measured: it uses a structure optimized by DFT (GGA-PBE) and Cu Kα (λ = 1.5418 Å).
Neutral-atom scattering factors, no anomalous dispersion.

Top 10 peaks for 5 to 70 degrees two-theta, by angle:
hkl 1 1 0, d 5.060, 2θ 17.53, I = 2; hkl 2 0 0, d 3.266, 2θ 27.31, I = 95; hkl 1 2 1, d 2.828, 2θ 31.63, I = 100; hkl 2 0 2, d 2.001, 2θ 45.32, I = 49; hkl 3 2 -1, d 1.998, 2θ 45.40, I = 24; hkl 2 4 0, d 1.706, 2θ 53.72, I = 35; hkl 3 2 1, d 1.704, 2θ 53.81, I = 12; hkl 0 0 4, d 1.634, 2θ 56.30, I = 19; hkl 4 0 0, d 1.630, 2θ 56.46, I = 6; hkl 2 4 2, d 1.414, 2θ 66.06, I = 12

Structural model:
Lattice parameters (Å, degrees): 6.916 8.006 6.937 90.00 109.50 90.00
Fractional positions:
Dy (0.000, 0.124, 0.250)
Dy (0.000, 0.374, 0.750)
Dy (0.000, 0.626, 0.250)
Dy (0.000, 0.876, 0.750)
Dy (0.500, 0.124, 0.750)
Dy (0.500, 0.876, 0.250)
Pu (0.500, 0.374, 0.250)
Pu (0.500, 0.626, 0.750)
P (0.250, 0.126, 0.002)
P (0.250, 0.874, 0.502)
P (0.255, 0.378, 0.499)
P (0.255, 0.622, 0.999)
P (0.745, 0.378, 0.001)
P (0.745, 0.622, 0.501)
P (0.750, 0.126, 0.498)
P (0.750, 0.874, 0.998)

---

# 5
Diffraction record for Pr2Ga2Pd5Au. The powder XRD pattern is computed, not measured: it uses a structure optimized by DFT (GGA-PBE) and Cu Kα (λ = 1.5418 Å).
Neutral-atom scattering factors, no anomalous dispersion.

Top 10 peaks for 5 to 70 degrees two-theta, by angle:
hkl 2 1 1, d 2.880, 2θ 31.05, I = 17; hkl 2 2 1, d 2.581, 2θ 34.76, I = 36; hkl 4 1 0, d 2.443, 2θ 36.79, I = 40; hkl 3 1 1, d 2.426, 2θ 37.05, I = 100; hkl 3 3 0, d 2.374, 2θ 37.89, I = 9; hkl 4 2 0, d 2.253, 2θ 40.03, I = 16; hkl 3 2 1, d 2.239, 2θ 40.27, I = 29; hkl 0 0 2, d 1.873, 2θ 48.62, I = 21; hkl 4 1 2, d 1.486, 2θ 62.49, I = 17; hkl 5 4 1, d 1.450, 2θ 64.21, I = 9

Structural model:
Lattice parameters (Å, degrees): 10.074 10.074 3.745 90.00 90.00 90.00
Fractional positions:
Pr (0.180, 0.320, 0.000)
Pr (0.320, 0.820, 0.000)
Pr (0.680, 0.180, 0.000)
Pr (0.820, 0.680, 0.000)
Ga (0.119, 0.619, 0.000)
Ga (0.381, 0.119, 0.000)
Ga (0.619, 0.881, 0.000)
Ga (0.881, 0.381, 0.000)
Pd (0.000, 0.500, 0.500)
Pd (0.059, 0.793, 0.500)
Pd (0.207, 0.059, 0.500)
Pd (0.293, 0.559, 0.500)
Pd (0.441, 0.293, 0.500)
Pd (0.500, 0.000, 0.500)
Pd (0.559, 0.707, 0.500)
Pd (0.707, 0.441, 0.500)
Pd (0.793, 0.941, 0.500)
Pd (0.941, 0.207, 0.500)
Au (0.000, 0.000, 0.000)
Au (0.500, 0.500, 0.000)

---

# 6
Diffraction record for KLiICl6. The powder XRD pattern is computed, not measured: it uses a structure optimized by DFT (GGA-PBE) and Cu Kα (λ = 1.5418 Å).
Neutral-atom scattering factors, no anomalous dispersion.

Top 10 peaks for 5 to 70 degrees two-theta, by angle:
hkl 0 0 1, d 7.030, 2θ 12.59, I = 88; hkl 1 0 0, d 6.092, 2θ 14.54, I = 78; hkl 1 0 -1, d 4.713, 2θ 18.83, I = 100; hkl 1 0 1, d 4.502, 2θ 19.72, I = 84; hkl -1 1 1, d 4.426, 2θ 20.06, I = 60; hkl 1 1 -1, d 3.281, 2θ 27.18, I = 53; hkl 2 -1 1, d 3.002, 2θ 29.76, I = 60; hkl 1 1 -2, d 2.588, 2θ 34.66, I = 41; hkl -1 2 2, d 2.399, 2θ 37.50, I = 69; hkl 3 0 0, d 2.031, 2θ 44.62, I = 44

Structural model:
Lattice parameters (Å, degrees): 6.738 6.752 7.040 91.61 91.76 115.29
Fractional positions:
K (0.000, 0.000, 0.000)
Li (0.302, 0.699, 0.501)
I (0.656, 0.345, 0.500)
Cl (0.020, 0.648, 0.264)
Cl (0.355, 0.981, 0.738)
Cl (0.361, 0.379, 0.295)
Cl (0.621, 0.639, 0.706)
Cl (0.634, 0.024, 0.297)
Cl (0.978, 0.367, 0.705)